Record 1
Structure and simulated powder X-ray diffraction pattern of Tm2Zn3Ni4 (the PBE geometry in Alexandria; a wavelength of 1.5418 Å).

Structural model:
a b c (Å): 7.928 7.928 7.024
angles (deg): 90.00 90.00 141.30
Fractional coordinates of all 18 atoms:
1 Tm 0.107 0.893 0.914
2 Tm 0.393 0.607 0.414
3 Tm 0.607 0.393 0.586
4 Tm 0.893 0.107 0.086
5 Zn 0.000 0.000 0.500
6 Zn 0.017 0.483 0.750
7 Zn 0.483 0.017 0.250
8 Zn 0.500 0.500 0.000
9 Zn 0.517 0.983 0.750
10 Zn 0.983 0.517 0.250
11 Ni 0.168 0.832 0.515
12 Ni 0.181 0.319 0.750
13 Ni 0.319 0.181 0.250
14 Ni 0.332 0.668 0.015
15 Ni 0.668 0.332 0.985
16 Ni 0.681 0.819 0.750
17 Ni 0.819 0.681 0.250
18 Ni 0.832 0.168 0.485

Main lines, sorted by position (15 to 90 degrees two-theta):
2theta  I_rel
31.2  23
35.6  44
36.9  100
38.3  20
38.5  47
40.4  52
42.0  31
43.0  72
62.9  21
71.9  21



Record 2
Structure and simulated powder X-ray diffraction pattern of Ba4LiMg3 (the PBE geometry in Alexandria; a wavelength of 1.5418 Å).

Structural model:
a b c (Å): 4.393 4.393 17.453
angles (deg): 90.00 90.00 90.00
Fractional coordinates of all 8 atoms:
1 Ba 0.000 0.000 0.125
2 Ba 0.000 0.000 0.372
3 Ba 0.000 0.000 0.628
4 Ba 0.000 0.000 0.875
5 Li 0.500 0.500 0.500
6 Mg 0.500 0.500 0.000
7 Mg 0.500 0.500 0.250
8 Mg 0.500 0.500 0.750

Main lines, sorted by position (15 to 90 degrees two-theta):
2theta  I_rel
20.2  63
20.4  31
28.7  51
28.8  100
35.5  30
41.1  19
46.2  29
51.0  40
51.2  20
67.4  17



Record 3
Structure and simulated powder X-ray diffraction pattern of NaTl2GeCl5 (the PBE geometry in Alexandria; a wavelength of 1.5418 Å).

Structural model:
a b c (Å): 9.284 9.284 14.452
angles (deg): 90.00 90.00 154.35
Fractional coordinates of all 18 atoms:
1 Na 0.039 0.961 0.500
2 Na 0.961 0.039 0.000
3 Tl 0.367 0.633 0.365
4 Tl 0.405 0.595 0.712
5 Tl 0.595 0.405 0.212
6 Tl 0.633 0.367 0.865
7 Ge 0.287 0.713 0.084
8 Ge 0.713 0.287 0.584
9 Cl 0.004 0.996 0.824
10 Cl 0.112 0.888 0.045
11 Cl 0.194 0.806 0.462
12 Cl 0.226 0.774 0.710
13 Cl 0.420 0.580 0.111
14 Cl 0.580 0.420 0.611
15 Cl 0.774 0.226 0.210
16 Cl 0.806 0.194 0.962
17 Cl 0.888 0.112 0.545
18 Cl 0.996 0.004 0.324

Main lines, sorted by position (15 to 90 degrees two-theta):
2theta  I_rel
19.6  26
20.6  27
20.9  93
22.1  33
25.4  28
28.9  100
30.3  25
32.2  51
32.9  24
35.3  26



What did the second record say?
Structure and simulated powder X-ray diffraction pattern of Ba4LiMg3 (the PBE geometry in Alexandria; a wavelength of 1.5418 Å).

Structural model:
a b c (Å): 4.393 4.393 17.453
angles (deg): 90.00 90.00 90.00
Fractional coordinates of all 8 atoms:
1 Ba 0.000 0.000 0.125
2 Ba 0.000 0.000 0.372
3 Ba 0.000 0.000 0.628
4 Ba 0.000 0.000 0.875
5 Li 0.500 0.500 0.500
6 Mg 0.500 0.500 0.000
7 Mg 0.500 0.500 0.250
8 Mg 0.500 0.500 0.750

Main lines, sorted by position (15 to 90 degrees two-theta):
2theta  I_rel
20.2  63
20.4  31
28.7  51
28.8  100
35.5  30
41.1  19
46.2  29
51.0  40
51.2  20
67.4  17